The following is a theoretical PXRD pattern of TbPm2Sm3Y6. It was derived from a DFT-relaxed cell (PBE, Alexandria), using Cu Kα (λ = 1.5418 Å).
Peak positions follow from Bragg's law for the DFT cell and can differ from measured ones.

Atomic structure:
```
data_TbPm2Sm3Y6
_chemical_formula_sum 'Tb2 Pm4 Sm6 Y12'
_cell_length_a 6.2398
_cell_length_b 10.8027
_cell_length_c 11.8670
_cell_angle_alpha 90.00
_cell_angle_beta 100.05
_cell_angle_gamma 90.00
_space_group_name_H-M_alt 'C 1 2/m 1'
_space_group_IT_number 12
_space_group_name_Hall '-C 2y'
loop_
_atom_site_label
_atom_site_type_symbol
_atom_site_fract_x
_atom_site_fract_y
_atom_site_fract_z
Tb1 Tb 0.0000 0.0000 0.0000
Pm1 Pm 0.0000 0.3335 0.0000
Sm1 Sm 0.0000 0.1667 0.5000
Sm2 Sm 0.0000 0.5000 0.5000
Y1 Y 0.2496 0.0000 0.7499
Y2 Y 0.2497 0.1665 0.2498
```

Peak list (10 most intense, 10 to 90 degrees two-theta, by angle)
2θ/deg, d/Å, I/Imax, h k l
30.42, 2.939, 100, 1 3 1
30.60, 2.921, 33, 0 0 4
35.32, 2.541, 67, 2 0 2
50.69, 1.801, 24, 0 6 0
50.93, 1.793, 23, 1 3 5
60.27, 1.535, 14, 4 0 0
60.38, 1.533, 28, 3 3 3
60.60, 1.528, 14, 2 0 6
63.29, 1.469, 12, 2 6 2
82.57, 1.168, 11, 4 6 0

***

The following is a theoretical PXRD pattern of Ba2ZrPdRu. It was derived from a DFT-relaxed cell (PBE, Alexandria), using Cu Kα (λ = 1.5418 Å).
Peak positions follow from Bragg's law for the DFT cell and can differ from measured ones.

Atomic structure:
```
data_Ba2ZrPdRu
_chemical_formula_sum 'Ba2 Zr1 Pd1 Ru1'
_cell_length_a 6.4014
_cell_length_b 6.4014
_cell_length_c 4.6161
_cell_angle_alpha 90.00
_cell_angle_beta 90.00
_cell_angle_gamma 90.00
_space_group_name_H-M_alt 'P 4/m m m'
_space_group_IT_number 123
_space_group_name_Hall '-P 4 2'
loop_
_atom_site_label
_atom_site_type_symbol
_atom_site_fract_x
_atom_site_fract_y
_atom_site_fract_z
Ba1 Ba 0.0000 0.5000 0.0000
Zr1 Zr 0.0000 0.0000 0.0000
Pd1 Pd 0.5000 0.5000 0.5000
Ru1 Ru 0.0000 0.0000 0.5000
```

Peak list (10 most intense, 10 to 90 degrees two-theta, by angle)
2θ/deg, d/Å, I/Imax, h k l
13.83, 6.401, 13, 1 0 0
27.60, 3.232, 92, 1 1 1
27.87, 3.201, 100, 2 0 0
39.03, 2.308, 20, 0 0 2
39.83, 2.263, 38, 2 2 0
48.64, 1.872, 42, 2 0 2
49.14, 1.854, 37, 3 1 1
56.99, 1.616, 26, 2 2 2
65.17, 1.431, 17, 4 2 0
78.65, 1.216, 20, 4 2 2